Diffraction record for KSi. The powder XRD pattern is theoretical, not measured: it uses a crystal structure in Alexandria, relaxed with PBE and Cu Kα X-rays.
Peak positions follow from Bragg's law for the DFT cell and can differ from measured ones.

Atomic structure:
```
KSi
1.0
-5.312 5.312 8.636
5.312 -5.312 8.636
5.312 5.312 -8.636
K Si
16 16
Cartesian
4.013 1.357 -2.159
7.967 1.144 0.000
6.610 3.954 -2.159
3.800 5.312 -4.318
3.800 0.000 4.318
1.299 1.357 2.159
2.656 4.167 0.000
-1.299 3.954 2.159
6.610 1.357 6.477
2.656 1.144 8.636
4.013 3.954 6.477
1.511 5.312 4.318
1.511 0.000 12.954
-1.299 1.357 10.795
-2.656 4.167 8.636
1.299 3.954 10.795
4.278 -3.307 5.618
5.962 -3.690 7.337
6.346 -2.005 5.618
4.661 1.622 1.300
4.661 -1.622 7.337
6.346 2.005 3.019
5.962 3.690 1.300
4.278 3.307 3.019
1.034 2.005 5.618
-0.651 1.622 7.337
-1.034 3.307 5.618
0.651 6.934 1.300
0.651 3.690 7.337
-1.034 7.317 3.019
-0.651 9.001 1.300
1.034 8.618 3.019
```

Largest 10 diffraction maxima, by intensity, 2θ from 15° to 90°:
30.79 deg, intensity 100
32.03 deg, intensity 91
24.29 deg, intensity 47
26.60 deg, intensity 32
35.36 deg, intensity 31
33.76 deg, intensity 29
15.63 deg, intensity 23
60.05 deg, intensity 20
28.51 deg, intensity 20
39.85 deg, intensity 19